This entry pairs a crystal structure of LiAuSe4 with its simulated X-ray diffraction stick pattern. Radiation: Cu Ka. Structure: a structure optimized by DFT (PBE).
No peak broadening, texture or thermal motion is included.

Structure:
```
data_LiAuSe4
_symmetry_space_group_name_H-M 'F -4 3 m'
_symmetry_Int_Tables_number 216
_symmetry_space_group_name_Hall 'F -4 2 3'
_cell_length_a 8.1254
_cell_length_b 8.1254
_cell_length_c 8.1254
_cell_angle_alpha 90.00
_cell_angle_beta 90.00
_cell_angle_gamma 90.00
loop_
_atom_site_label
_atom_site_fract_x
_atom_site_fract_y
_atom_site_fract_z
_atom_site_occupancy
Li1 0.0000 0.0000 0.0000 1
Au1 0.2500 0.2500 0.2500 1
Se1 0.1244 0.1244 0.6244 1
```

The 10 most intense peaks (5° ≤ 2θ ≤ 70°), sorted by position:
d = 4.691 Å, 18.92°, I 30, hkl 1 1 1; d = 4.063 Å, 21.88°, I 30, hkl 2 0 0; d = 2.873 Å, 31.13°, I 29, hkl 2 2 0; d = 2.450 Å, 36.68°, I 100, hkl 3 1 1; d = 2.346 Å, 38.38°, I 37, hkl 2 2 2; d = 1.864 Å, 48.86°, I 7, hkl 3 3 1; d = 1.817 Å, 50.21°, I 14, hkl 4 2 0; d = 1.659 Å, 55.40°, I 12, hkl 4 2 2; d = 1.564 Å, 59.08°, I 33, hkl 3 3 3; d = 1.436 Å, 64.92°, I 23, hkl 4 4 0



This entry pairs a crystal structure of LiSn2AuSe4 with its simulated X-ray diffraction stick pattern. Radiation: Cu Ka. Structure: a structure optimized by DFT (PBE).
No peak broadening, texture or thermal motion is included.

Structure:
```
data_LiSn2AuSe4
_symmetry_space_group_name_H-M 'F m m 2'
_symmetry_Int_Tables_number 42
_symmetry_space_group_name_Hall 'F 2 -2'
_cell_length_a 8.3114
_cell_length_b 10.1862
_cell_length_c 10.9231
_cell_angle_alpha 90.00
_cell_angle_beta 90.00
_cell_angle_gamma 90.00
loop_
_atom_site_label
_atom_site_fract_x
_atom_site_fract_y
_atom_site_fract_z
_atom_site_occupancy
Li1 0.0000 0.0000 0.0000 1
Sn1 0.2500 0.2500 0.2214 1
Au1 0.0000 0.0000 0.3630 1
Se1 0.0000 0.2418 0.0647 1
Se2 0.2127 0.0000 0.8186 1
```

The 10 most intense peaks (5° ≤ 2θ ≤ 70°), sorted by position:
d = 5.547 Å, 15.98°, I 43, hkl 1 1 1; d = 5.462 Å, 16.23°, I 33, hkl 0 0 2; d = 3.725 Å, 23.89°, I 100, hkl 0 2 2; d = 3.307 Å, 26.96°, I 46, hkl 2 0 2; d = 2.774 Å, 32.27°, I 30, hkl 2 2 2; d = 2.597 Å, 34.54°, I 25, hkl 3 1 1; d = 2.547 Å, 35.24°, I 40, hkl 0 4 0; d = 2.407 Å, 37.37°, I 23, hkl 0 2 4; d = 2.083 Å, 43.45°, I 24, hkl 2 2 4; d = 2.018 Å, 44.92°, I 23, hkl 2 4 2